Entry 1:
This entry pairs a crystal structure of GdPtF7 with its theoretical X-ray diffraction stick pattern. Radiation: a wavelength of 1.5418 Å. Structure: a cell relaxed with PBE.
Intensities are scaled so that the largest is 100.

The 10 most intense peaks (10 to 90 degrees two-theta), most intense first:
2θ (°)	d_spacing	Rel. int.
21.89	4.061	100
22.30	3.987	43
28.81	3.099	33
47.90	1.899	26
31.98	2.799	17
44.26	2.046	17
44.58	2.033	17
29.79	2.999	16
26.14	3.409	16
22.96	3.873	15

Cell and atoms:
Cell lengths 9.009, 5.598, 12.122 Å; angles 90.00, 117.73, 90.00 degrees
Atoms (fractional coordinates):
Gd 0.187 0.239 0.265
Gd 0.187 0.261 0.765
Gd 0.813 0.739 0.235
Gd 0.813 0.761 0.735
Pt 0.273 0.742 0.043
Pt 0.273 0.758 0.543
Pt 0.727 0.242 0.457
Pt 0.727 0.258 0.957
F 0.027 0.745 0.950
F 0.027 0.755 0.450
F 0.032 0.589 0.732
F 0.032 0.911 0.232
F 0.255 0.556 0.174
F 0.255 0.944 0.674
F 0.274 0.035 0.133
F 0.274 0.465 0.633
F 0.279 0.057 0.459
F 0.279 0.443 0.959
F 0.296 0.566 0.416
F 0.296 0.934 0.916
F 0.481 0.228 0.359
F 0.481 0.272 0.859
F 0.519 0.728 0.141
F 0.519 0.772 0.641
F 0.704 0.066 0.084
F 0.704 0.434 0.584
F 0.721 0.557 0.041
F 0.721 0.943 0.541
F 0.726 0.535 0.367
F 0.726 0.965 0.867
F 0.745 0.056 0.326
F 0.745 0.444 0.826
F 0.968 0.089 0.768
F 0.968 0.411 0.268
F 0.973 0.245 0.550
F 0.973 0.255 0.050

=====

Entry 2:
This entry pairs a crystal structure of GdZrF7 with its theoretical X-ray diffraction stick pattern. Radiation: a wavelength of 1.5418 Å. Structure: a cell relaxed with PBE.
Intensities are scaled so that the largest is 100.

The 10 most intense peaks (10 to 90 degrees two-theta), most intense first:
2θ (°)	d_spacing	Rel. int.
21.06	4.219	100
21.67	4.102	37
27.84	3.205	30
25.22	3.532	25
46.08	1.970	20
42.53	2.126	18
46.69	1.945	15
45.15	2.008	14
26.45	3.370	14
22.12	4.019	14

Cell and atoms:
Cell lengths 6.181, 5.912, 8.420 Å; angles 90.00, 103.03, 90.00 degrees
Atoms (fractional coordinates):
Gd 0.152 0.000 0.189
Gd 0.848 0.500 0.811
Zr 0.317 0.005 0.726
Zr 0.683 0.505 0.274
F 0.029 0.720 0.012
F 0.081 0.759 0.708
F 0.093 0.264 0.707
F 0.270 0.002 0.478
F 0.360 0.009 0.972
F 0.430 0.273 0.254
F 0.441 0.745 0.262
F 0.559 0.245 0.738
F 0.570 0.773 0.746
F 0.640 0.509 0.028
F 0.730 0.502 0.522
F 0.907 0.764 0.293
F 0.919 0.259 0.292
F 0.971 0.220 0.988

=====

Entry 3:
This entry pairs a crystal structure of GeF4 with its theoretical X-ray diffraction stick pattern. Radiation: a wavelength of 1.5418 Å. Structure: a cell relaxed with PBE.
Intensities are scaled so that the largest is 100.

The 10 most intense peaks (10 to 90 degrees two-theta), most intense first:
2θ (°)	d_spacing	Rel. int.
22.42	3.965	100
39.36	2.289	37
61.92	1.499	24
45.77	1.982	18
71.37	1.322	15
89.03	1.100	11
75.89	1.254	5
51.54	1.773	5
84.69	1.145	3
56.89	1.619	3

Cell and atoms:
Cell lengths 4.856, 4.856, 4.856 Å; angles 109.47, 109.47, 109.47 degrees
Atoms (fractional coordinates):
Ge 0.000 0.000 0.000
F 0.000 0.000 0.647
F 0.000 0.647 0.000
F 0.353 0.353 0.353
F 0.647 0.000 0.000

=====

Entry 4:
This entry pairs a crystal structure of GeF5 with its theoretical X-ray diffraction stick pattern. Radiation: a wavelength of 1.5418 Å. Structure: a cell relaxed with PBE.
Intensities are scaled so that the largest is 100.

The 10 most intense peaks (10 to 90 degrees two-theta), most intense first:
2θ (°)	d_spacing	Rel. int.
17.89	4.958	100
26.46	3.368	68
40.69	2.217	28
25.41	3.506	27
59.45	1.555	14
64.16	1.451	12
58.91	1.568	12
51.01	1.791	12
47.34	1.920	11
78.81	1.214	9

Cell and atoms:
Cell lengths 5.317, 5.317, 5.317 Å; angles 97.49, 97.49, 137.66 degrees
Atoms (fractional coordinates):
Ge 0.000 0.000 0.000
F 0.074 0.756 0.830
F 0.244 0.074 0.318
F 0.500 0.500 0.000
F 0.756 0.926 0.682
F 0.926 0.244 0.170

=====

- Which formula does entry 1 have?
  GdPtF7